This entry pairs a crystal structure of LiHoPaSe4 with its calculated powder diffractogram. Radiation: CuKα. Structure: a PBE-relaxed structure.
Peak positions follow from Bragg's law for the DFT cell and can differ from measured ones.

Largest 10 diffraction maxima, low angle first, 10° ≤ 2θ ≤ 90°:
2θ 13.0, I 47; 2θ 13.2, I 82; 2θ 25.0, I 34; 2θ 25.3, I 41; 2θ 30.4, I 100; 2θ 30.6, I 49; 2θ 40.0, I 25; 2θ 43.2, I 20; 2θ 43.7, I 76; 2θ 53.8, I 20

Crystal structure
Unit cell a=8.2888 b=8.2888 c=8.2888 alpha=120.48 beta=119.24 gamma=90.25
Fractional coordinates of all 14 atoms:
Li 0.3825 0.1325 0.2500
Li 0.6175 0.8675 0.7500
Ho 0.0000 0.0000 0.5000
Ho 0.0000 0.5000 0.0000
Pa 0.0000 0.5000 0.5000
Pa 0.5000 0.5000 0.0000
Se 0.2305 0.7433 0.4873
Se 0.2440 0.2567 0.9873
Se 0.2455 0.2560 0.5105
Se 0.2455 0.7349 0.9895
Se 0.7545 0.2651 0.0105
Se 0.7545 0.7440 0.4895
Se 0.7560 0.7433 0.0127
Se 0.7695 0.2567 0.5127